This entry pairs a crystal structure of CuBBr4 with its calculated PXRD pattern. Radiation: Cu Kα (λ = 1.5418 Å). Structure: a cell relaxed with PBE.
Lines closer than 0.1° are merged.

Largest 8 diffraction maxima, low angle first, 10° ≤ 2θ ≤ 80°:
(hkl)  Position (°2θ)  I (rel.)
1 0 0  14.4  29
0 0 2  15.4  36
0 1 1  16.3  32
1 1 2  25.6  100
1 2 1  33.4  14
2 1 2  36.1  22
1 2 3  40.3  17
2 0 4  43.0  25

Cell and atoms:
```
data_CuBBr4
_cell_length_a 6.1604
_cell_length_b 6.1664
_cell_length_c 11.5252
_cell_angle_alpha 90.00
_cell_angle_beta 90.00
_cell_angle_gamma 90.00
_symmetry_space_group_name_H-M 'P 2 2 2'
_symmetry_Int_Tables_number 16
_symmetry_space_group_name_Hall 'P 2 2'
loop_
_atom_site_label
_atom_site_fract_x
_atom_site_fract_y
_atom_site_fract_z
Cu1 0.0000 0.0000 0.0000
Cu2 0.5000 0.0000 0.5000
B1 0.0000 0.0000 0.5000
B2 0.0000 0.5000 0.0000
Br1 0.1884 0.3028 0.1006
Br2 0.1974 0.1882 0.6008
```